Calculated powder diffractogram of Hg2I3Br for a wavelength of 1.5418 Å, from a crystal structure in the Materials Project, relaxed with PBE.
Lines closer than 0.1° are merged.

The 10 most intense peaks (10 to 90 degrees two-theta), most intense first:
d = 7.033 Å, 12.59 deg, rel. 100.0
d = 4.074 Å, 21.82 deg, rel. 62.4
d = 3.678 Å, 24.20 deg, rel. 61.8
d = 3.629 Å, 24.53 deg, rel. 60.5
d = 2.601 Å, 34.49 deg, rel. 57.7
d = 4.108 Å, 21.63 deg, rel. 53.1
d = 2.969 Å, 30.10 deg, rel. 45.3
d = 3.136 Å, 28.46 deg, rel. 42.6
d = 2.893 Å, 30.91 deg, rel. 37.4
d = 3.183 Å, 28.03 deg, rel. 29.9

Structure:
a b c (Å): 4.567 4.567 14.071
angles (deg): 91.24 91.24 69.42
Sites, in units of the cell vectors:
Hg: 0.000 0.000 0.000
Hg: 0.676 0.676 0.497
I: 0.254 0.254 0.871
I: 0.748 0.748 0.130
I: 0.932 0.932 0.629
Br: 0.431 0.431 0.374